[1]
The following is a calculated PXRD pattern of Tm3InFe8. It was derived from a structure optimized by DFT (GGA-PBE), using a wavelength of 1.5418 Å.
Neutral-atom scattering factors, no anomalous dispersion.

```
12
Lattice="5.075 0.000 0.000 -2.538 4.395 0.000 0.000 0.000 8.262" Properties=species:S:1:pos:R:3 pbc="T T T"
Tm 0.000 0.000 0.000
Tm 0.000 0.000 3.129
Tm 0.000 2.930 7.155
In 0.000 2.930 4.089
Fe 3.806 2.198 1.551
Fe 1.276 0.737 5.658
Fe 2.538 0.000 1.551
Fe 1.269 2.198 1.551
Fe 2.538 1.465 3.587
Fe 2.538 1.465 7.747
Fe 3.799 0.737 5.658
Fe 2.538 2.922 5.658
```

The 10 most intense peaks (2θ from 10° to 80°), sorted by position:
29.68 deg, rel. 17; 35.37 deg, rel. 68; 38.58 deg, rel. 99; 41.07 deg, rel. 16; 41.78 deg, rel. 100; 42.57 deg, rel. 55; 65.63 deg, rel. 41; 67.88 deg, rel. 23; 71.43 deg, rel. 27; 74.83 deg, rel. 22

[2]
The following is a calculated PXRD pattern of U2InFe. It was derived from a structure optimized by DFT (GGA-PBE), using a wavelength of 1.5418 Å.
Neutral-atom scattering factors, no anomalous dispersion.

```
4
Lattice="1.506 0.869 10.054 -1.506 0.869 10.054 0.000 -1.738 10.054" Properties=species:S:1:pos:R:3 pbc="T T T"
U 0.000 0.000 7.171
U 0.000 0.000 22.991
In 0.000 0.000 0.000
Fe 0.000 0.000 15.081
```

The 10 most intense peaks (2θ from 10° to 80°), sorted by position:
17.64 deg, rel. 26; 26.60 deg, rel. 24; 34.92 deg, rel. 22; 35.72 deg, rel. 19; 36.46 deg, rel. 100; 42.13 deg, rel. 54; 52.81 deg, rel. 19; 61.60 deg, rel. 24; 63.41 deg, rel. 14; 73.29 deg, rel. 14

[3]
The following is a calculated PXRD pattern of YIn2Fe. It was derived from a structure optimized by DFT (GGA-PBE), using a wavelength of 1.5418 Å.
Neutral-atom scattering factors, no anomalous dispersion.

```
4
Lattice="-1.865 2.494 4.721 1.865 -2.494 4.721 1.865 2.494 -4.721" Properties=species:S:1:pos:R:3 pbc="T T T"
Y 0.000 0.000 0.000
In 1.865 0.000 2.638
In 0.000 2.494 2.084
Fe 0.000 0.000 4.721
```

The 10 most intense peaks (2θ from 10° to 80°), sorted by position:
33.67 deg, rel. 10; 35.56 deg, rel. 100; 36.02 deg, rel. 26; 38.12 deg, rel. 16; 48.83 deg, rel. 11; 53.45 deg, rel. 11; 62.15 deg, rel. 10; 64.46 deg, rel. 17; 67.24 deg, rel. 7; 75.29 deg, rel. 8

[4]
The following is a calculated PXRD pattern of ZnIn2Fe. It was derived from a structure optimized by DFT (GGA-PBE), using a wavelength of 1.5418 Å.
Neutral-atom scattering factors, no anomalous dispersion.

```
4
Lattice="2.997 0.000 0.000 0.000 2.997 0.000 0.000 0.000 8.578" Properties=species:S:1:pos:R:3 pbc="T T T"
Zn 0.000 0.000 0.000
In 0.000 0.000 3.421
In 1.499 1.499 6.229
Fe 1.499 1.499 1.512
```

The 10 most intense peaks (2θ from 10° to 80°), sorted by position:
31.28 deg, rel. 20; 31.62 deg, rel. 27; 36.58 deg, rel. 100; 42.66 deg, rel. 42; 43.76 deg, rel. 8; 53.84 deg, rel. 17; 61.52 deg, rel. 8; 61.92 deg, rel. 13; 62.37 deg, rel. 13; 74.11 deg, rel. 23

[5]
The following is a calculated PXRD pattern of Zr3InFe8. It was derived from a structure optimized by DFT (GGA-PBE), using a wavelength of 1.5418 Å.
Neutral-atom scattering factors, no anomalous dispersion.

```
12
Lattice="2.480 1.432 8.114 -2.480 1.432 8.114 0.000 -2.864 8.114" Properties=species:S:1:pos:R:3 pbc="T T T"
Zr 0.000 0.000 0.000
Zr 0.000 0.000 3.071
Zr 0.000 0.000 12.262
In 0.000 0.000 15.274
Fe 0.000 -1.428 5.607
Fe -1.236 0.714 5.607
Fe -1.239 -0.716 9.681
Fe 0.000 0.000 7.648
Fe 1.236 0.714 5.607
Fe 1.239 -0.716 9.681
Fe 0.000 1.431 9.681
Fe 0.000 0.000 19.812
```

The 10 most intense peaks (2θ from 10° to 80°), sorted by position:
21.94 deg, rel. 1; 36.20 deg, rel. 48; 42.73 deg, rel. 100; 44.73 deg, rel. 24; 65.10 deg, rel. 12; 65.15 deg, rel. 4; 69.59 deg, rel. 18; 69.64 deg, rel. 11; 76.78 deg, rel. 11; 76.89 deg, rel. 11

[6]
The following is a calculated PXRD pattern of FeIr3. It was derived from a structure optimized by DFT (GGA-PBE), using a wavelength of 1.5418 Å.
Neutral-atom scattering factors, no anomalous dispersion.

```
4
Lattice="2.720 0.000 0.000 -1.360 2.356 0.000 0.000 0.000 8.668" Properties=species:S:1:pos:R:3 pbc="T T T"
Fe 0.000 0.000 0.000
Ir 0.000 0.000 4.334
Ir 1.360 0.785 2.065
Ir 1.360 0.785 6.603
```

The 10 most intense peaks (2θ from 10° to 80°), sorted by position:
10.20 deg, rel. 18; 20.49 deg, rel. 6; 30.95 deg, rel. 7; 38.20 deg, rel. 27; 39.65 deg, rel. 10; 41.68 deg, rel. 24; 43.74 deg, rel. 100; 57.81 deg, rel. 15; 69.06 deg, rel. 17; 77.52 deg, rel. 20

[7]
The following is a calculated PXRD pattern of FeIr. It was derived from a structure optimized by DFT (GGA-PBE), using a wavelength of 1.5418 Å.
Neutral-atom scattering factors, no anomalous dispersion.

```
4
Lattice="-1.857 1.857 3.808 1.857 -1.857 3.808 1.857 1.857 -3.808" Properties=species:S:1:pos:R:3 pbc="T T T"
Fe 1.857 0.928 0.952
Fe 0.000 0.928 2.856
Ir 1.857 -0.928 2.856
Ir 0.000 2.785 0.952
```

The 10 most intense peaks (2θ from 10° to 80°), sorted by position:
26.71 deg, rel. 44; 41.79 deg, rel. 100; 43.17 deg, rel. 13; 47.77 deg, rel. 17; 49.07 deg, rel. 31; 56.74 deg, rel. 12; 66.33 deg, rel. 4; 67.39 deg, rel. 7; 70.90 deg, rel. 21; 71.92 deg, rel. 10

[8]
The following is a calculated PXRD pattern of Fe3Ir2. It was derived from a structure optimized by DFT (GGA-PBE), using a wavelength of 1.5418 Å.
Neutral-atom scattering factors, no anomalous dispersion.

```
5
Lattice="1.354 0.782 10.452 -1.354 0.782 10.452 0.000 -1.564 10.452" Properties=species:S:1:pos:R:3 pbc="T T T"
Fe 0.000 0.000 0.000
Fe 0.000 0.000 6.207
Fe 0.000 0.000 25.150
Ir 0.000 0.000 12.580
Ir 0.000 0.000 18.777
```

The 10 most intense peaks (2θ from 10° to 80°), sorted by position:
16.97 deg, rel. 42; 25.57 deg, rel. 16; 38.49 deg, rel. 17; 40.13 deg, rel. 15; 41.09 deg, rel. 100; 43.28 deg, rel. 28; 48.47 deg, rel. 61; 50.38 deg, rel. 9; 69.41 deg, rel. 21; 72.52 deg, rel. 18

[9]
The following is a calculated PXRD pattern of Fe2Ir5. It was derived from a structure optimized by DFT (GGA-PBE), using a wavelength of 1.5418 Å.
Neutral-atom scattering factors, no anomalous dispersion.

```
14
Lattice="8.656 0.000 0.000 0.000 8.656 0.000 0.000 0.000 2.648" Properties=species:S:1:pos:R:3 pbc="T T T"
Fe 1.566 2.762 0.000
Fe 2.762 7.090 0.000
Fe 5.894 1.566 0.000
Fe 7.090 5.894 0.000
Ir 0.000 4.328 1.324
Ir 0.530 6.892 1.324
Ir 1.764 0.530 1.324
Ir 2.564 4.858 1.324
Ir 3.798 2.564 1.324
Ir 4.328 0.000 1.324
Ir 4.858 6.092 1.324
Ir 6.092 3.798 1.324
Ir 6.892 8.126 1.324
Ir 8.126 1.764 1.324
```

The 10 most intense peaks (2θ from 10° to 80°), sorted by position:
32.72 deg, rel. 79; 33.85 deg, rel. 93; 37.46 deg, rel. 46; 41.31 deg, rel. 41; 43.09 deg, rel. 100; 44.40 deg, rel. 36; 47.79 deg, rel. 89; 51.37 deg, rel. 50; 55.89 deg, rel. 41; 78.71 deg, rel. 28

[10]
The following is a calculated PXRD pattern of Fe5Ir7. It was derived from a structure optimized by DFT (GGA-PBE), using a wavelength of 1.5418 Å.
Neutral-atom scattering factors, no anomalous dispersion.

```
12
Lattice="2.682 -7.989 0.000 2.682 7.989 0.000 0.000 0.000 3.766" Properties=species:S:1:pos:R:3 pbc="T T T"
Fe 0.000 0.000 0.000
Fe 1.341 3.995 1.883
Fe 2.682 5.291 0.000
Fe 1.341 -3.995 1.883
Fe 2.682 -5.291 0.000
Ir 1.309 1.380 1.883
Ir 2.682 2.738 0.000
Ir 1.309 -1.380 1.883
Ir 2.682 0.000 0.000
Ir 4.056 1.380 1.883
Ir 2.682 -2.738 0.000
Ir 4.056 -1.380 1.883
```

The 10 most intense peaks (2θ from 10° to 80°), sorted by position:
11.07 deg, rel. 19; 17.44 deg, rel. 16; 29.51 deg, rel. 14; 32.65 deg, rel. 17; 41.33 deg, rel. 100; 41.53 deg, rel. 98; 48.15 deg, rel. 63; 48.34 deg, rel. 32; 70.17 deg, rel. 10; 70.61 deg, rel. 40

[11]
The following is a calculated PXRD pattern of Fe5Ir3. It was derived from a structure optimized by DFT (GGA-PBE), using a wavelength of 1.5418 Å.
Neutral-atom scattering factors, no anomalous dispersion.

```
16
Lattice="4.687 0.000 0.000 1.444 6.542 0.000 1.261 0.084 6.973" Properties=species:S:1:pos:R:3 pbc="T T T"
Fe 0.604 1.125 1.185
Fe 2.077 5.102 1.096
Fe 1.814 0.056 3.441
Fe 2.999 2.165 4.394
Fe 2.939 2.240 1.993
Fe 4.453 4.386 4.980
Fe 4.393 4.461 2.578
Fe 5.577 6.571 3.532
Fe 5.315 1.524 5.877
Fe 6.788 5.501 5.788
Ir 2.105 4.323 3.555
Ir 3.128 2.922 6.697
Ir 2.904 0.191 5.910
Ir 4.488 6.435 1.062
Ir 4.263 3.704 0.276
Ir 5.287 2.303 3.418
```

The 10 most intense peaks (2θ from 10° to 80°), sorted by position:
25.29 deg, rel. 77; 29.17 deg, rel. 65; 39.44 deg, rel. 57; 40.50 deg, rel. 84; 41.37 deg, rel. 66; 43.69 deg, rel. 73; 43.81 deg, rel. 61; 43.93 deg, rel. 58; 45.33 deg, rel. 58; 46.61 deg, rel. 100

[12]
The following is a calculated PXRD pattern of FeIr. It was derived from a structure optimized by DFT (GGA-PBE), using a wavelength of 1.5418 Å.
Neutral-atom scattering factors, no anomalous dispersion.

```
8
Lattice="4.010 0.000 0.000 -2.005 3.473 0.000 0.000 0.000 7.837" Properties=species:S:1:pos:R:3 pbc="T T T"
Fe 0.000 0.000 1.959
Fe 0.000 0.000 5.877
Fe 0.000 2.315 1.959
Fe 2.005 1.158 5.877
Ir 0.000 2.315 4.580
Ir 0.000 2.315 7.175
Ir 2.005 1.158 0.662
Ir 2.005 1.158 3.256
```

The 10 most intense peaks (2θ from 10° to 80°), sorted by position:
25.65 deg, rel. 35; 28.10 deg, rel. 29; 34.51 deg, rel. 19; 43.34 deg, rel. 100; 45.22 deg, rel. 76; 52.72 deg, rel. 5; 53.72 deg, rel. 6; 54.10 deg, rel. 5; 64.43 deg, rel. 31; 72.35 deg, rel. 6

[13]
The following is a calculated PXRD pattern of Fe5Ir4. It was derived from a structure optimized by DFT (GGA-PBE), using a wavelength of 1.5418 Å.
Neutral-atom scattering factors, no anomalous dispersion.

```
18
Lattice="7.287 0.000 0.000 -3.643 6.311 0.000 0.000 0.000 5.191" Properties=species:S:1:pos:R:3 pbc="T T T"
Fe -1.213 2.101 1.298
Fe -2.431 4.210 3.893
Fe 2.426 0.000 1.298
Fe 1.213 2.101 3.893
Fe 0.000 4.207 0.000
Fe 0.000 4.207 2.596
Fe 4.861 0.000 3.893
Fe 3.643 2.104 0.000
Fe 3.643 2.104 2.596
Fe 2.431 4.210 1.298
Ir 0.000 0.000 0.000
Ir 0.000 0.000 2.596
Ir -1.236 2.140 3.893
Ir -2.408 4.170 1.298
Ir 2.471 0.000 3.893
Ir 1.236 2.140 1.298
Ir 4.816 0.000 1.298
Ir 2.408 4.170 3.893
```

The 10 most intense peaks (2θ from 10° to 80°), sorted by position:
14.03 deg, rel. 19; 29.96 deg, rel. 54; 34.56 deg, rel. 11; 42.78 deg, rel. 85; 43.00 deg, rel. 100; 53.29 deg, rel. 12; 56.29 deg, rel. 16; 62.26 deg, rel. 27; 78.65 deg, rel. 27; 78.81 deg, rel. 16

[14]
The following is a calculated PXRD pattern of FeIr4. It was derived from a structure optimized by DFT (GGA-PBE), using a wavelength of 1.5418 Å.
Neutral-atom scattering factors, no anomalous dispersion.

```
10
Lattice="4.731 0.000 0.000 0.000 4.749 0.000 -2.576 0.000 6.440" Properties=species:S:1:pos:R:3 pbc="T T T"
Fe 0.000 0.000 0.000
Fe -1.288 2.375 3.220
Ir -0.076 0.295 2.621
Ir -1.364 2.080 5.841
Ir 1.159 2.757 1.967
Ir -0.129 4.367 5.187
Ir 2.285 0.382 1.253
Ir 0.997 1.993 4.473
Ir 3.519 2.670 0.599
Ir 2.231 4.454 3.819
```

The 10 most intense peaks (2θ from 10° to 80°), sorted by position:
33.54 deg, rel. 22; 37.89 deg, rel. 32; 40.44 deg, rel. 100; 42.72 deg, rel. 88; 43.83 deg, rel. 82; 48.11 deg, rel. 27; 56.59 deg, rel. 20; 65.67 deg, rel. 16; 74.29 deg, rel. 17; 76.65 deg, rel. 15